Diffraction record for AcMnCO5. The powder XRD pattern is calculated, not measured: it uses DFT lattice parameters and positions (PBE+U) and λ = 1.5418 Å (Cu Kα).
Neutral-atom scattering factors, no anomalous dispersion.

Top 12 peaks for 5 to 70 degrees two-theta, sorted by position:
hkl 1 1 0, 4.858 Å, 18.26°, intensity 72
hkl 0 2 0, 4.082 Å, 21.77°, intensity 38
hkl 1 1 2, 3.129 Å, 28.53°, intensity 100
hkl 2 0 0, 3.023 Å, 29.55°, intensity 40
hkl 0 2 2, 2.889 Å, 30.96°, intensity 42
hkl 1 3 0, 2.480 Å, 36.22°, intensity 32
hkl 2 2 0, 2.430 Å, 37.00°, intensity 31
hkl 1 3 2, 2.121 Å, 42.63°, intensity 26
hkl 2 2 2, 2.088 Å, 43.33°, intensity 30
hkl 1 1 4, 1.885 Å, 48.28°, intensity 19
hkl 0 4 2, 1.826 Å, 49.94°, intensity 25
hkl 2 4 -2, 1.563 Å, 59.12°, intensity 21

Crystal structure
```
data_AcMnCO5
_symmetry_space_group_name_H-M 'C 1 2/c 1'
_symmetry_Int_Tables_number 15
_cell_length_a 6.0458
_cell_length_b 8.1592
_cell_length_c 8.1810
_cell_angle_alpha 90.00
_cell_angle_beta 90.15
_cell_angle_gamma 90.00
loop_
_symmetry_equiv_pos_as_xyz
'x,y,z'
'-x,-y,-z'
'-x,y,-z+1/2'
'x,-y,z+1/2'
'x+1/2,y+1/2,z'
'-x+1/2,-y+1/2,-z'
'-x+1/2,y+1/2,-z+1/2'
'x+1/2,-y+1/2,z+1/2'
loop_
_atom_site_label
_atom_site_type_symbol
_atom_site_fract_x
_atom_site_fract_y
_atom_site_fract_z
Ac1 Ac 0.0000 0.0000 0.0000
Mn1 Mn 0.0000 0.3766 0.2500
C1 C 0.0000 0.2782 0.7500
O1 O 0.0000 0.1566 0.2500
O2 O 0.0006 0.3694 0.8881
O3 O 0.1795 0.1476 0.7500
```